Diffraction record for K2S5. The XRD peak list is theoretical, not measured: it uses the GGA-PBE geometry in the Materials Project and a wavelength of 1.5418 Å.

Lattice parameters (Å, degrees): 6.600 6.619 18.719 90.00 90.00 90.00
Fractional positions:
K1 0.058 0.160 0.072
K2 0.174 0.599 0.760
K3 0.326 0.401 0.260
K4 0.442 0.840 0.572
K5 0.558 0.340 0.928
K6 0.674 0.901 0.240
K7 0.826 0.099 0.740
K8 0.942 0.660 0.428
S1 0.056 0.306 0.563
S2 0.063 0.293 0.901
S3 0.143 0.996 0.883
S4 0.162 0.682 0.113
S5 0.165 0.846 0.207
S6 0.335 0.154 0.707
S7 0.338 0.318 0.613
S8 0.357 0.004 0.383
S9 0.437 0.707 0.401
S10 0.444 0.694 0.063
S11 0.556 0.194 0.437
S12 0.563 0.207 0.099
S13 0.643 0.504 0.117
S14 0.662 0.818 0.887
S15 0.665 0.654 0.793
S16 0.835 0.346 0.293
S17 0.838 0.182 0.387
S18 0.857 0.496 0.617
S19 0.937 0.793 0.599
S20 0.944 0.806 0.937

Main lines, low angle first (10 to 90 degrees two-theta):
19.6 deg, rel. 42.5, (1 1 1); 23.8 deg, rel. 14.6, (1 1 3); 27.0 deg, rel. 35.3, (0 2 0); 27.4 deg, rel. 34.6, (2 0 1); 28.6 deg, rel. 63.2, (0 0 6); 30.6 deg, rel. 100.0, (0 2 3); 31.7 deg, rel. 56.7, (2 1 2); 33.6 deg, rel. 14.4, (2 1 3); 34.6 deg, rel. 13.9, (1 1 6); 38.8 deg, rel. 29.1, (2 1 5); 50.0 deg, rel. 15.2, (3 2 1); 57.6 deg, rel. 20.0, (4 1 0)

***

Diffraction record for Li8ZrO6. The XRD peak list is theoretical, not measured: it uses the GGA-PBE geometry in the Materials Project and a wavelength of 1.5418 Å.

Lattice parameters (Å, degrees): 5.750 5.750 10.906 90.00 90.00 120.00
Fractional positions:
Li1 0.000 0.324 0.000
Li2 0.000 0.409 0.359
Li3 0.000 0.591 0.859
Li4 0.000 0.676 0.500
Li5 0.324 0.000 0.000
Li6 0.324 0.324 0.500
Li7 0.333 0.667 0.139
Li8 0.333 0.667 0.639
Li9 0.409 0.000 0.359
Li10 0.409 0.409 0.859
Li11 0.591 0.000 0.859
Li12 0.591 0.591 0.359
Li13 0.667 0.333 0.139
Li14 0.667 0.333 0.639
Li15 0.676 0.000 0.500
Li16 0.676 0.676 0.000
Zr1 0.000 0.000 0.226
Zr2 0.000 0.000 0.726
O1 0.000 0.000 0.411
O2 0.000 0.000 0.911
O3 0.000 0.334 0.180
O4 0.000 0.666 0.680
O5 0.333 0.667 0.444
O6 0.333 0.667 0.944
O7 0.334 0.000 0.180
O8 0.334 0.334 0.680
O9 0.666 0.000 0.680
O10 0.666 0.666 0.180
O11 0.667 0.333 0.444
O12 0.667 0.333 0.944

Main lines, low angle first (10 to 90 degrees two-theta):
16.3 deg, rel. 30.8, (0 0 2); 17.8 deg, rel. 82.6, (1 0 0); 24.2 deg, rel. 100.0, (1 0 2); 31.1 deg, rel. 38.0, (1 1 0); 32.2 deg, rel. 15.5, (1 1 1); 32.8 deg, rel. 20.2, (0 0 4); 36.1 deg, rel. 17.9, (2 0 0); 37.6 deg, rel. 25.9, (1 0 4); 39.8 deg, rel. 27.2, (2 0 2); 45.9 deg, rel. 19.8, (1 1 4); 51.4 deg, rel. 24.5, (2 1 2); 55.4 deg, rel. 23.7, (3 0 0)